No. 1
W2I5: calculated powder XRD pattern (a wavelength of 1.5418 Å), based on a GGA-PBE-relaxed structure.
Kinematic intensities with the Lorentz-polarization factor, no thermal factor.

Structural model:
```
W2I5
1.0
11.1919 0.0000 0.0000
0.0000 12.5436 0.0000
0.0000 0.0000 16.1189
W I
16 40
Direct
0.1310 0.2367 0.2831 W
0.1500 0.4026 0.1931 W
0.1509 0.7036 0.7712 W
0.2464 0.2316 0.1371 W
0.2536 0.7684 0.6371 W
0.3491 0.2964 0.2712 W
0.3500 0.5974 0.6931 W
0.3690 0.7633 0.7831 W
0.6310 0.2633 0.7169 W
0.6500 0.0974 0.8069 W
0.6509 0.7964 0.2288 W
0.7464 0.2684 0.8629 W
0.7536 0.7316 0.3629 W
0.8491 0.2036 0.7288 W
0.8500 0.9026 0.3069 W
0.8690 0.7367 0.2169 W
0.0002 0.4161 0.3303 I
0.9998 0.9161 0.1697 I
0.0104 0.7258 0.6304 I
0.0096 0.7373 0.3635 I
0.0313 0.5959 0.1299 I
0.0722 0.2076 0.6457 I
0.1635 0.4837 0.7623 I
0.2043 0.9309 0.7553 I
0.2377 0.4074 0.0317 I
0.2466 0.7228 0.9293 I
0.2485 0.9174 0.5092 I
0.2515 0.0826 0.0092 I
0.2534 0.2772 0.4293 I
0.2623 0.5926 0.5317 I
0.2957 0.0691 0.2553 I
0.3365 0.5163 0.2623 I
0.4278 0.7924 0.1457 I
0.4687 0.4041 0.6299 I
0.4904 0.2627 0.8635 I
0.4896 0.2742 0.1304 I
0.5002 0.0839 0.6697 I
0.4998 0.5839 0.8303 I
0.5096 0.7627 0.6365 I
0.5104 0.7742 0.3696 I
0.5313 0.9041 0.8701 I
0.5722 0.2924 0.3543 I
0.6635 0.0163 0.2377 I
0.7043 0.5691 0.2447 I
0.7377 0.0926 0.9683 I
0.7466 0.7772 0.0707 I
0.7485 0.5826 0.4908 I
0.7515 0.4174 0.9908 I
0.7534 0.2228 0.5707 I
0.7623 0.9074 0.4683 I
0.7957 0.4309 0.7447 I
0.8365 0.9837 0.7377 I
0.9278 0.7076 0.8543 I
0.9687 0.0959 0.3701 I
0.9896 0.2258 0.8696 I
0.9904 0.2373 0.1365 I
```

Principal peaks in the range 5 to 70 degrees two-theta, in order of rising 2θ:
2θ/deg  d/Å  I/Imax
10.98  8.059  32
11.94  7.415  100
14.12  6.272  14
27.23  3.274  29
30.02  2.977  10
39.79  2.266  9
41.85  2.158  9
42.36  2.134  18

***

No. 2
Ga20Mo4Se: calculated powder XRD pattern (a wavelength of 1.5418 Å), based on a GGA-PBE-relaxed structure.
Kinematic intensities with the Lorentz-polarization factor, no thermal factor.

Structural model:
```
Ga20Mo4Se
1.0
-6.4891 6.4891 2.6503
6.4891 -6.4891 2.6503
6.4891 6.4891 -2.6503
Ga Mo Se
20 4 1
Direct
0.0000 0.0000 0.5000 Ga
0.0000 0.5000 0.0000 Ga
0.0537 0.7923 0.8459 Ga
0.1170 0.6842 0.3016 Ga
0.1846 0.8830 0.5672 Ga
0.2077 0.0537 0.2614 Ga
0.3158 0.6175 0.4328 Ga
0.3626 0.5732 0.9358 Ga
0.3826 0.8154 0.6984 Ga
0.4268 0.3626 0.7894 Ga
0.5000 0.0000 0.0000 Ga
0.5000 0.5000 0.5000 Ga
0.5732 0.6374 0.2106 Ga
0.6175 0.1846 0.3016 Ga
0.6374 0.4268 0.0642 Ga
0.6842 0.3826 0.5672 Ga
0.7923 0.9463 0.7386 Ga
0.8154 0.1170 0.4328 Ga
0.8830 0.3158 0.6984 Ga
0.9463 0.2077 0.1541 Ga
0.2359 0.4194 0.6553 Mo
0.4194 0.7641 0.1835 Mo
0.5806 0.2359 0.8165 Mo
0.7641 0.5806 0.3447 Mo
0.0000 0.0000 0.0000 Se
```

Principal peaks in the range 5 to 70 degrees two-theta, in order of rising 2θ:
2θ/deg  d/Å  I/Imax
35.25  2.546  54
38.62  2.331  47
39.26  2.295  30
40.53  2.226  100
41.15  2.194  24
41.76  2.163  21
44.13  2.052  27
46.40  1.957  58

***

No. 3
DyTmI2O2: calculated powder XRD pattern (a wavelength of 1.5418 Å), based on a GGA-PBE-relaxed structure.
Kinematic intensities with the Lorentz-polarization factor, no thermal factor.

Structural model:
```
DyTmI2O2
1.0
3.8986 0.0000 0.0000
0.0000 3.8986 0.0000
0.0000 0.0000 9.2810
Dy Tm I O
1 1 2 2
Direct
0.0000 0.0000 0.0000 Dy
0.5000 0.5000 0.2332 Tm
0.0000 0.0000 0.4380 I
0.5000 0.5000 0.7951 I
0.0000 0.5000 0.1199 O
0.5000 0.0000 0.1199 O
```

Principal peaks in the range 5 to 70 degrees two-theta, in order of rising 2θ:
2θ/deg  d/Å  I/Imax
9.53  9.281  37
29.93  2.985  100
32.48  2.757  44
37.10  2.423  21
46.59  1.949  20
51.48  1.775  13
56.37  1.632  33
60.09  1.540  13

***

No. 4
Cu3Se2S6Cl2: calculated powder XRD pattern (a wavelength of 1.5418 Å), based on a GGA-PBE-relaxed structure.
Kinematic intensities with the Lorentz-polarization factor, no thermal factor.

Structural model:
```
Cu3Se2S6Cl2
1.0
5.1553 -3.6806 0.0000
5.1553 3.6806 0.0000
-3.0128 0.0000 7.7768
Cu Se S Cl
3 2 6 2
Direct
0.0000 0.0000 0.0000 Cu
0.4993 0.4993 0.3060 Cu
0.5007 0.5007 0.6940 Cu
0.1476 0.1476 0.6904 Se
0.8524 0.8524 0.3096 Se
0.1527 0.7522 0.1843 S
0.2478 0.8473 0.8157 S
0.3717 0.3717 0.8583 S
0.6283 0.6283 0.1417 S
0.7522 0.1527 0.1843 S
0.8473 0.2478 0.8157 S
0.3206 0.3206 0.4004 Cl
0.6794 0.6794 0.5996 Cl
```

Principal peaks in the range 5 to 70 degrees two-theta, in order of rising 2θ:
2θ/deg  d/Å  I/Imax
18.46  4.807  63
20.92  4.246  89
22.87  3.888  41
24.18  3.681  100
25.05  3.555  57
31.50  2.840  45
34.09  2.630  49
42.64  2.120  55